Starting from the GGA-PBE geometry in the Materials Project, the X-ray diffraction stick pattern of Ba4Sm2Cu2O9 was computed for Cu Kα (λ = 1.5418 Å).

Atomic structure:
Lattice parameters (Å, degrees): 12.051 12.051 3.892 90.00 90.00 90.00
Space group P-4n2 (No. 118)
Inequivalent atoms, fractional coordinates:
Ba: 0.113 0.172 0.241 [8 per cell]
Sm: 0.110 0.610 0.250 [4 per cell]
Cu: 0.097 0.403 0.750 [4 per cell]
O: 0.000 0.000 0.000 [2 per cell]
O: 0.025 0.708 0.750 [8 per cell]
O: 0.091 0.409 0.250 [4 per cell]
O: 0.243 0.743 0.250 [4 per cell]

Top 8 peaks for 5° ≤ 2θ ≤ 70°, in order of rising 2θ:
| 2θ (°) | I (rel.) |
| --- | --- |
| 26.67 | 21 |
| 29.65 | 39 |
| 31.13 | 100 |
| 39.27 | 15 |
| 44.20 | 24 |
| 46.68 | 14 |
| 53.55 | 15 |
| 56.28 | 14 |

---

Starting from the GGA-PBE geometry in the Materials Project, the X-ray diffraction stick pattern of Ba2SmCu3O7 was computed for Cu Kα (λ = 1.5418 Å).

Atomic structure:
Lattice parameters (Å, degrees): 3.878 3.939 11.854 90.00 90.00 90.00
Space group Pmmm (No. 47)
Inequivalent atoms, fractional coordinates:
Ba: 0.000 0.000 0.180 [2 per cell]
Sm: 0.000 0.000 0.500 [1 per cell]
Cu: 0.500 0.500 0.000 [1 per cell]
Cu: 0.500 0.500 0.349 [2 per cell]
O: 0.000 0.500 0.375 [2 per cell]
O: 0.500 0.000 0.000 [1 per cell]
O: 0.500 0.000 0.374 [2 per cell]
O: 0.500 0.500 0.159 [2 per cell]

Top 8 peaks for 5° ≤ 2θ ≤ 70°, in order of rising 2θ:
| 2θ (°) | I (rel.) |
| --- | --- |
| 22.54 | 12 |
| 32.09 | 47 |
| 32.37 | 100 |
| 39.81 | 15 |
| 46.09 | 14 |
| 46.86 | 14 |
| 57.38 | 38 |
| 57.92 | 17 |

---

Starting from the GGA-PBE geometry in the Materials Project, the X-ray diffraction stick pattern of BaSm2CuO5 was computed for Cu Kα (λ = 1.5418 Å).

Atomic structure:
Lattice parameters (Å, degrees): 12.475 5.805 7.385 90.00 90.00 90.00
Space group Pnma (No. 62)
Inequivalent atoms, fractional coordinates:
Ba: 0.094 0.250 0.068 [4 per cell]
Sm: 0.074 0.750 0.395 [4 per cell]
Sm: 0.213 0.250 0.612 [4 per cell]
Cu: 0.161 0.750 0.781 [4 per cell]
O: 0.068 0.510 0.665 [8 per cell]
O: 0.098 0.750 0.079 [4 per cell]
O: 0.228 0.007 0.351 [8 per cell]

Top 8 peaks for 5° ≤ 2θ ≤ 70°, in order of rising 2θ:
| 2θ (°) | I (rel.) |
| --- | --- |
| 29.05 | 100 |
| 29.55 | 62 |
| 30.80 | 46 |
| 31.13 | 21 |
| 44.36 | 30 |
| 53.70 | 17 |
| 57.28 | 14 |
| 59.79 | 17 |

---

Starting from the GGA-PBE geometry in the Materials Project, the X-ray diffraction stick pattern of Ba4SmCu3O9 was computed for Cu Kα (λ = 1.5418 Å).

Atomic structure:
Lattice parameters (Å, degrees): 8.227 8.227 8.227 90.00 90.00 90.00
Space group Pm-3n (No. 223)
Inequivalent atoms, fractional coordinates:
Ba: 0.250 0.250 0.250 [8 per cell]
Sm: 0.000 0.000 0.000 [2 per cell]
Cu: 0.000 0.000 0.500 [6 per cell]
O: 0.000 0.000 0.276 [12 per cell]
O: 0.000 0.250 0.500 [6 per cell]

Top 8 peaks for 5° ≤ 2θ ≤ 70°, in order of rising 2θ:
| 2θ (°) | I (rel.) |
| --- | --- |
| 15.23 | 6 |
| 21.60 | 2 |
| 30.74 | 100 |
| 34.47 | 2 |
| 37.88 | 5 |
| 44.02 | 27 |
| 54.65 | 39 |
| 64.02 | 17 |

---

Starting from the GGA-PBE geometry in the Materials Project, the X-ray diffraction stick pattern of Ba4SmCu3O9 was computed for Cu Kα (λ = 1.5418 Å).

Atomic structure:
Lattice parameters (Å, degrees): 8.235 8.235 8.235 90.00 90.00 90.00
Space group Pm-3 (No. 200)
Inequivalent atoms, fractional coordinates:
Ba: 0.249 0.249 0.249 [8 per cell]
Sm: 0.000 0.000 0.000 [1 per cell]
Sm: 0.500 0.500 0.500 [1 per cell]
Cu: 0.000 0.000 0.500 [3 per cell]
Cu: 0.000 0.500 0.500 [3 per cell]
O: 0.000 0.000 0.277 [6 per cell]
O: 0.000 0.500 0.257 [6 per cell]
O: 0.223 0.500 0.500 [6 per cell]

Top 8 peaks for 5° ≤ 2θ ≤ 70°, in order of rising 2θ:
| 2θ (°) | I (rel.) |
| --- | --- |
| 15.22 | 6 |
| 21.58 | 2 |
| 30.71 | 100 |
| 34.44 | 2 |
| 37.85 | 5 |
| 43.98 | 27 |
| 54.60 | 39 |
| 63.95 | 17 |

---

Starting from the GGA-PBE geometry in the Materials Project, the X-ray diffraction stick pattern of Ba2SmCu4O8 was computed for Cu Kα (λ = 1.5418 Å).

Atomic structure:
Lattice parameters (Å, degrees): 3.906 27.631 3.929 90.00 90.00 90.00
Space group Cmmm (No. 65)
Inequivalent atoms, fractional coordinates:
Ba: 0.000 0.136 0.000 [4 per cell]
Sm: 0.000 0.000 0.000 [2 per cell]
Cu: 0.000 0.287 0.500 [4 per cell]
Cu: 0.000 0.438 0.500 [4 per cell]
O: 0.000 0.054 0.500 [4 per cell]
O: 0.000 0.219 0.500 [4 per cell]
O: 0.000 0.354 0.500 [4 per cell]
O: 0.000 0.446 0.000 [4 per cell]

Top 8 peaks for 5° ≤ 2θ ≤ 70°, in order of rising 2θ:
| 2θ (°) | I (rel.) |
| --- | --- |
| 6.40 | 54 |
| 29.90 | 42 |
| 32.24 | 96 |
| 32.49 | 100 |
| 34.58 | 65 |
| 46.22 | 32 |
| 46.50 | 31 |
| 57.47 | 37 |